[1]
Structure and computed powder XRD pattern of Tl2OsO4 (a crystal structure in OQMD, relaxed with PBE; Cu Kα X-rays).
Peak positions follow from Bragg's law for the DFT cell and can differ from measured ones.

Crystal structure
```
Tl2OsO4
1.0
0.0000 5.0671 5.0671
5.0671 0.0000 5.0671
5.0671 5.0671 0.0000
Tl Os O
4 2 8
Direct
0.0000 0.0000 0.0000
0.0000 0.0000 0.5000
0.0000 0.5000 0.0000
0.5000 0.0000 0.0000
0.3750 0.3750 0.3750
0.6250 0.6250 0.6250
0.2729 0.2729 0.2729
0.2729 0.2729 0.6812
0.2729 0.6812 0.2729
0.3188 0.7271 0.7271
0.6812 0.2729 0.2729
0.7271 0.3188 0.7271
0.7271 0.7271 0.3188
0.7271 0.7271 0.7271
```

Peak list (8 most intense, 5 to 70 degrees two-theta, by angle)
d/Å	intensity
3.583	24
3.056	100
2.925	30
2.069	10
1.950	34
1.791	38
1.545	13
1.528	16

[2]
Structure and computed powder XRD pattern of Zn2Os2O7 (a crystal structure in OQMD, relaxed with PBE; Cu Kα X-rays).
Peak positions follow from Bragg's law for the DFT cell and can differ from measured ones.

Crystal structure
```
Zn2Os2O7
1.0
0.0000 4.9892 4.9892
4.9892 0.0000 4.9892
4.9892 4.9892 0.0000
Zn Os O
4 4 14
Direct
0.0000 0.0000 0.0000
0.0000 0.0000 0.5000
0.0000 0.5000 0.0000
0.5000 0.0000 0.0000
0.0000 0.5000 0.5000
0.5000 0.0000 0.5000
0.5000 0.5000 0.0000
0.5000 0.5000 0.5000
0.1250 0.1250 0.1250
0.1737 0.1737 0.5763
0.1737 0.5763 0.1737
0.1737 0.5763 0.5763
0.4237 0.4237 0.8263
0.4237 0.8263 0.4237
0.4237 0.8263 0.8263
0.5763 0.1737 0.1737
0.5763 0.1737 0.5763
0.5763 0.5763 0.1737
0.8263 0.4237 0.4237
0.8263 0.4237 0.8263
0.8263 0.8263 0.4237
0.8750 0.8750 0.8750
```

Peak list (8 most intense, 5 to 70 degrees two-theta, by angle)
d/Å	intensity
5.761	31
3.009	22
2.881	100
2.495	34
1.920	7
1.764	45
1.504	42
1.440	10

[3]
Structure and computed powder XRD pattern of Zn2OsO4 (a crystal structure in OQMD, relaxed with PBE; Cu Kα X-rays).
Peak positions follow from Bragg's law for the DFT cell and can differ from measured ones.

Crystal structure
```
Zn2OsO4
1.0
0.0000 4.3036 4.3036
4.3036 0.0000 4.3036
4.3036 4.3036 0.0000
Zn Os O
4 2 8
Direct
0.0000 0.0000 0.0000
0.0000 0.0000 0.5000
0.0000 0.5000 0.0000
0.5000 0.0000 0.0000
0.3750 0.3750 0.3750
0.6250 0.6250 0.6250
0.2357 0.7548 0.7548
0.2452 0.2452 0.2452
0.2452 0.2452 0.7643
0.2452 0.7643 0.2452
0.7548 0.2357 0.7548
0.7548 0.7548 0.2357
0.7548 0.7548 0.7548
0.7643 0.2452 0.2452
```

Peak list (8 most intense, 5 to 70 degrees two-theta, by angle)
d/Å	intensity
4.969	13
3.043	65
2.595	100
1.975	5
1.757	27
1.656	35
1.522	34
1.361	12

[4]
Structure and computed powder XRD pattern of ZrOsO4 (a crystal structure in OQMD, relaxed with PBE; Cu Kα X-rays).
Peak positions follow from Bragg's law for the DFT cell and can differ from measured ones.

Crystal structure
```
ZrOsO4
1.0
-2.4835 2.4835 5.0323
2.4835 -2.4835 5.0323
2.4835 2.4835 -5.0323
Zr Os O
2 2 8
Direct
0.3750 0.1250 0.2500
0.6250 0.8750 0.7500
0.1250 0.3750 0.7500
0.8750 0.6250 0.2500
0.0016 0.7386 0.7399
0.2383 0.4984 0.2370
0.2386 0.9987 0.7370
0.4987 0.2617 0.7601
0.5013 0.7383 0.2399
0.7614 0.0013 0.2630
0.7617 0.5016 0.7630
0.9984 0.2614 0.2601
```

Peak list (8 most intense, 5 to 70 degrees two-theta, by angle)
d/Å	intensity
4.454	17
2.880	100
2.516	10
2.484	19
1.768	35
1.756	17
1.514	14
1.499	28

[5]
Structure and computed powder XRD pattern of P2PdPbO7 (a crystal structure in OQMD, relaxed with PBE; Cu Kα X-rays).
Peak positions follow from Bragg's law for the DFT cell and can differ from measured ones.

Crystal structure
```
P2PdPbO7
1.0
13.4494 0.0000 0.0000
0.0000 5.9142 0.0000
0.0000 0.0000 7.3748
P Pd Pb O
8 4 4 28
Direct
0.0882 0.2500 0.1739
0.1235 0.7500 0.7864
0.3765 0.2500 0.2864
0.4118 0.7500 0.6739
0.5882 0.2500 0.3261
0.6235 0.7500 0.7136
0.8765 0.2500 0.2136
0.9118 0.7500 0.8261
0.0000 0.0000 0.5000
0.0000 0.5000 0.5000
0.5000 0.0000 0.0000
0.5000 0.5000 0.0000
0.2407 0.7500 0.2414
0.2593 0.2500 0.7414
0.7407 0.7500 0.2586
0.7593 0.2500 0.7586
0.0242 0.7500 0.9097
0.0950 0.0302 0.2887
0.0950 0.4698 0.2887
0.1205 0.5334 0.6667
0.1205 0.9666 0.6667
0.1626 0.2500 0.0246
0.2124 0.7500 0.9088
0.2876 0.2500 0.4088
0.3374 0.7500 0.5246
0.3795 0.0334 0.1667
0.3795 0.4666 0.1667
0.4050 0.5302 0.7887
0.4050 0.9698 0.7887
0.4758 0.2500 0.4097
0.5242 0.7500 0.5903
0.5950 0.0302 0.2113
0.5950 0.4698 0.2113
0.6205 0.5334 0.8333
0.6205 0.9666 0.8333
0.6626 0.2500 0.4754
0.7124 0.7500 0.5912
0.7876 0.2500 0.0912
0.8374 0.7500 0.9754
0.8795 0.0334 0.3333
0.8795 0.4666 0.3333
0.9050 0.5302 0.7113
0.9050 0.9698 0.7113
0.9758 0.2500 0.0903
```

Peak list (8 most intense, 5 to 70 degrees two-theta, by angle)
d/Å	intensity
6.466	25
3.804	100
3.233	56
2.717	54
2.707	45
2.689	25
2.151	24
1.903	33

[6]
Structure and computed powder XRD pattern of Zn3Te2P2Pb2O14 (a crystal structure in OQMD, relaxed with PBE; Cu Kα X-rays).
Peak positions follow from Bragg's law for the DFT cell and can differ from measured ones.

Crystal structure
```
Zn3Te2P2Pb2O14
1.0
5.2711 0.0000 0.0000
0.0000 7.8589 0.0000
-0.0531 0.0000 15.1649
Zn Te P Pb O
6 4 4 4 28
Direct
0.0000 0.0000 0.0000
0.0000 0.5000 0.5000
0.0115 0.1119 0.3871
0.0115 0.3881 0.8871
0.9885 0.6119 0.1129
0.9885 0.8881 0.6129
0.4906 0.2198 0.5158
0.4906 0.2802 0.0158
0.5094 0.7198 0.9842
0.5094 0.7802 0.4842
0.0418 0.2384 0.1925
0.0418 0.2616 0.6925
0.9582 0.7384 0.3075
0.9582 0.7616 0.8075
0.4996 0.0576 0.8037
0.4996 0.4424 0.3037
0.5004 0.5576 0.6963
0.5004 0.9424 0.1963
0.1028 0.0960 0.1255
0.1028 0.4040 0.6255
0.1608 0.0914 0.6602
0.1608 0.4086 0.1602
0.1899 0.1944 0.2796
0.1899 0.3056 0.7796
0.2454 0.7492 0.2915
0.2454 0.7508 0.7915
0.2458 0.7344 0.5679
0.2458 0.7656 0.0679
0.2922 0.1156 0.9489
0.2922 0.3844 0.4489
0.2974 0.0392 0.4606
0.2974 0.4608 0.9606
0.7026 0.5392 0.0394
0.7026 0.9608 0.5394
0.7078 0.6156 0.5511
0.7078 0.8844 0.0511
0.7542 0.2344 0.9321
0.7542 0.2656 0.4321
0.7546 0.2492 0.2085
0.7546 0.2508 0.7085
0.8101 0.6944 0.2204
0.8101 0.8056 0.7204
0.8392 0.5914 0.8398
0.8392 0.9086 0.3398
0.8972 0.5960 0.3745
0.8972 0.9040 0.8745
```

Peak list (8 most intense, 5 to 70 degrees two-theta, by angle)
d/Å	intensity
5.271	32
4.251	20
3.309	100
3.084	63
2.909	98
2.866	28
2.830	29
2.636	33

[7]
Structure and computed powder XRD pattern of TmPPbO (a crystal structure in OQMD, relaxed with PBE; Cu Kα X-rays).
Peak positions follow from Bragg's law for the DFT cell and can differ from measured ones.

Crystal structure
```
TmPPbO
1.0
3.9044 0.0000 0.0000
0.0000 8.5069 0.0000
0.0000 0.0000 5.7448
Tm P Pb O
2 2 2 2
Direct
0.0000 0.1611 0.0000
0.0000 0.8389 0.5000
0.0000 0.1570 0.4898
0.0000 0.8430 0.9898
0.5000 0.3639 0.5757
0.5000 0.6361 0.0757
0.5000 0.2598 0.9659
0.5000 0.7402 0.4659
```

Peak list (8 most intense, 5 to 70 degrees two-theta, by angle)
d/Å	intensity
3.548	65
3.418	100
3.019	91
2.872	45
2.294	48
2.233	29
1.793	36
1.695	28

[8]
Structure and computed powder XRD pattern of TaPPdO (a crystal structure in OQMD, relaxed with PBE; Cu Kα X-rays).
Peak positions follow from Bragg's law for the DFT cell and can differ from measured ones.

Crystal structure
```
TaPPdO
1.0
3.5863 0.0000 0.0000
0.0000 3.5863 0.0000
0.0000 0.0000 8.0688
Ta P Pd O
2 2 2 2
Direct
0.2500 0.2500 0.1617
0.7500 0.7500 0.8383
0.2500 0.2500 0.7137
0.7500 0.7500 0.2863
0.2500 0.7500 0.5000
0.7500 0.2500 0.5000
0.2500 0.7500 0.0000
0.7500 0.2500 0.0000
```

Peak list (8 most intense, 5 to 70 degrees two-theta, by angle)
d/Å	intensity
3.277	82
2.690	52
2.680	100
2.419	80
2.147	96
1.793	56
1.579	30
1.491	70

[9]
Structure and computed powder XRD pattern of Tl2P4Pd3O14 (a crystal structure in OQMD, relaxed with PBE; Cu Kα X-rays).
Peak positions follow from Bragg's law for the DFT cell and can differ from measured ones.

Crystal structure
```
Tl2P4Pd3O14
1.0
-4.9889 7.0062 4.8795
4.9889 -7.0062 4.8795
4.9889 7.0062 -4.8795
Tl P Pd O
4 8 6 28
Direct
0.2143 0.1817 0.0325
0.3508 0.8183 0.5325
0.6492 0.1817 0.4675
0.7857 0.8183 0.9675
0.1186 0.2526 0.4313
0.1186 0.6874 0.8661
0.3213 0.2526 0.6339
0.3213 0.6874 0.0687
0.6787 0.3126 0.9313
0.6787 0.7474 0.3661
0.8814 0.3126 0.1339
0.8814 0.7474 0.5687
0.0000 0.5000 0.5000
0.1909 0.9409 0.2500
0.5000 0.0000 0.0000
0.5000 0.5000 0.0000
0.5000 0.5000 0.5000
0.8091 0.0591 0.7500
0.0374 0.4654 0.2868
0.0374 0.7506 0.5720
0.0764 0.0685 0.2729
0.0764 0.8035 0.0080
0.1598 0.2444 0.5846
0.1598 0.5751 0.9154
0.2692 0.4403 0.4617
0.2692 0.8075 0.8289
0.2955 0.0685 0.4920
0.2955 0.8035 0.2271
0.3214 0.2494 0.7868
0.3214 0.5346 0.0720
0.4786 0.4403 0.6711
0.4786 0.8075 0.0383
0.5214 0.1925 0.9617
0.5214 0.5597 0.3289
0.6786 0.4654 0.9280
0.6786 0.7506 0.2132
0.7045 0.1965 0.7729
0.7045 0.9315 0.5080
0.7308 0.1925 0.1711
0.7308 0.5597 0.5383
0.8402 0.4249 0.0846
0.8402 0.7556 0.4154
0.9236 0.1965 0.9920
0.9236 0.9315 0.7271
0.9626 0.2494 0.4280
0.9626 0.5346 0.7132
```

Peak list (8 most intense, 5 to 70 degrees two-theta, by angle)
d/Å	intensity
6.995	33
4.064	100
3.219	49
3.124	32
3.093	29
2.867	40
2.829	70
2.207	38

[10]
Structure and computed powder XRD pattern of PmPrPO (a crystal structure in OQMD, relaxed with PBE; Cu Kα X-rays).
Peak positions follow from Bragg's law for the DFT cell and can differ from measured ones.

Crystal structure
```
PmPrPO
1.0
4.4036 0.0000 0.0000
0.0000 4.4036 0.0000
0.0000 0.0000 9.0641
Pm Pr P O
2 2 2 2
Direct
0.2500 0.2500 0.1023
0.7500 0.7500 0.8977
0.2500 0.7500 0.5000
0.7500 0.2500 0.5000
0.2500 0.2500 0.7064
0.7500 0.7500 0.2936
0.2500 0.7500 0.0000
0.7500 0.2500 0.0000
```

Peak list (8 most intense, 5 to 70 degrees two-theta, by angle)
d/Å	intensity
4.532	41
3.158	55
2.945	100
2.566	26
2.491	29
2.202	45
1.832	33
1.806	22

- What is the formula in the seventh record?
  TmPPbO

What did the second record say?
Structure and computed powder XRD pattern of Zn2Os2O7 (a crystal structure in OQMD, relaxed with PBE; Cu Kα X-rays).
Peak positions follow from Bragg's law for the DFT cell and can differ from measured ones.

Crystal structure
```
Zn2Os2O7
1.0
0.0000 4.9892 4.9892
4.9892 0.0000 4.9892
4.9892 4.9892 0.0000
Zn Os O
4 4 14
Direct
0.0000 0.0000 0.0000
0.0000 0.0000 0.5000
0.0000 0.5000 0.0000
0.5000 0.0000 0.0000
0.0000 0.5000 0.5000
0.5000 0.0000 0.5000
0.5000 0.5000 0.0000
0.5000 0.5000 0.5000
0.1250 0.1250 0.1250
0.1737 0.1737 0.5763
0.1737 0.5763 0.1737
0.1737 0.5763 0.5763
0.4237 0.4237 0.8263
0.4237 0.8263 0.4237
0.4237 0.8263 0.8263
0.5763 0.1737 0.1737
0.5763 0.1737 0.5763
0.5763 0.5763 0.1737
0.8263 0.4237 0.4237
0.8263 0.4237 0.8263
0.8263 0.8263 0.4237
0.8750 0.8750 0.8750
```

Peak list (8 most intense, 5 to 70 degrees two-theta, by angle)
d/Å	intensity
5.761	31
3.009	22
2.881	100
2.495	34
1.920	7
1.764	45
1.504	42
1.440	10